(1)
This entry pairs a crystal structure of Ba4CdAu with its computed XRD peak list. Radiation: λ = 1.5418 Å (Cu Kα). Structure: a crystal structure in Alexandria, relaxed with GGA-PBE.
Neutral-atom scattering factors, no anomalous dispersion.

Cell and atoms:
```
data_Ba4CdAu
_cell_length_a 4.1975
_cell_length_b 4.1975
_cell_length_c 15.1224
_cell_angle_alpha 90.00
_cell_angle_beta 90.00
_cell_angle_gamma 90.00
_symmetry_space_group_name_H-M 'P 4/m m m'
_symmetry_Int_Tables_number 123
_symmetry_space_group_name_Hall '-P 4 2'
loop_
_atom_site_label
_atom_site_type_symbol
_atom_site_fract_x
_atom_site_fract_y
_atom_site_fract_z
Ba1 Ba 0.0000 0.0000 0.1233
Ba2 Ba 0.5000 0.5000 0.3631
Cd1 Cd 0.0000 0.0000 0.5000
Au1 Au 0.5000 0.5000 0.0000
```

Principal peaks in the range 2θ = 5–70°, by angle:
2θ = 5.8°, I = 13, hkl 0 0 1
2θ = 11.7°, I = 27, hkl 0 0 2
2θ = 27.7°, I = 100, hkl 1 0 3
2θ = 30.1°, I = 55, hkl 1 1 0
2θ = 32.4°, I = 10, hkl 1 1 2
2θ = 36.6°, I = 35, hkl 1 0 5
2θ = 43.1°, I = 21, hkl 2 0 0
2θ = 52.0°, I = 35, hkl 2 1 3
2θ = 57.8°, I = 34, hkl 1 1 8
2θ = 66.6°, I = 10, hkl 2 0 8


(2)
This entry pairs a crystal structure of BaCd6Au12 with its computed XRD peak list. Radiation: λ = 1.5418 Å (Cu Kα). Structure: a crystal structure in Alexandria, relaxed with GGA-PBE.
Neutral-atom scattering factors, no anomalous dispersion.

Cell and atoms:
```
data_BaCd6Au12
_cell_length_a 12.1001
_cell_length_b 12.1001
_cell_length_c 10.0191
_cell_angle_alpha 90.00
_cell_angle_beta 90.00
_cell_angle_gamma 120.00
_symmetry_space_group_name_H-M 'R -3 m'
_symmetry_Int_Tables_number 166
_symmetry_space_group_name_Hall '-R 3 2"'
loop_
_atom_site_label
_atom_site_type_symbol
_atom_site_fract_x
_atom_site_fract_y
_atom_site_fract_z
Ba1 Ba 0.0000 0.0000 0.0000
Cd1 Cd 0.0671 0.5336 0.2431
Au1 Au 0.0000 0.3878 0.5000
Au2 Au 0.0846 0.1692 0.2779
```

Principal peaks in the range 2θ = 5–70°, by angle:
2θ = 19.6°, I = 41, hkl 0 1 2
2θ = 30.6°, I = 51, hkl 1 1 3
2θ = 32.1°, I = 100, hkl 1 3 1
2θ = 37.2°, I = 84, hkl 0 3 3
2θ = 38.5°, I = 63, hkl 3 2 1
2θ = 39.9°, I = 41, hkl 0 2 4
2θ = 41.7°, I = 36, hkl 2 3 2
2θ = 44.9°, I = 16, hkl 3 3 0
2θ = 47.0°, I = 51, hkl 5 0 2
2θ = 61.6°, I = 22, hkl 3 0 6


(3)
This entry pairs a crystal structure of Ba2Cd6Au3 with its computed XRD peak list. Radiation: λ = 1.5418 Å (Cu Kα). Structure: a crystal structure in Alexandria, relaxed with GGA-PBE.
Neutral-atom scattering factors, no anomalous dispersion.

Cell and atoms:
```
data_Ba2Cd6Au3
_cell_length_a 8.6931
_cell_length_b 8.6931
_cell_length_c 4.5657
_cell_angle_alpha 90.00
_cell_angle_beta 90.00
_cell_angle_gamma 120.00
_symmetry_space_group_name_H-M 'P -6 2 m'
_symmetry_Int_Tables_number 189
_symmetry_space_group_name_Hall 'P -6 -2'
loop_
_atom_site_label
_atom_site_type_symbol
_atom_site_fract_x
_atom_site_fract_y
_atom_site_fract_z
Ba1 Ba 0.3333 0.6667 0.0000
Cd1 Cd 0.0000 0.1955 0.0000
Cd2 Cd 0.0000 0.7174 0.5000
Au1 Au 0.0000 0.3920 0.5000
```

Principal peaks in the range 2θ = 5–70°, by angle:
2θ = 20.4°, I = 30, hkl 1 1 0
2θ = 28.3°, I = 100, hkl 1 1 1
2θ = 30.8°, I = 26, hkl 2 0 1
2θ = 31.4°, I = 28, hkl 2 1 0
2θ = 35.8°, I = 39, hkl 3 0 0
2θ = 37.2°, I = 99, hkl 2 1 1
2θ = 39.5°, I = 37, hkl 0 0 2
2θ = 43.3°, I = 32, hkl 3 1 0
2θ = 54.3°, I = 23, hkl 3 0 2
2θ = 60.0°, I = 25, hkl 3 1 2


(4)
This entry pairs a crystal structure of Ba6CdAu5 with its computed XRD peak list. Radiation: λ = 1.5418 Å (Cu Kα). Structure: a crystal structure in Alexandria, relaxed with GGA-PBE.
Neutral-atom scattering factors, no anomalous dispersion.

Cell and atoms:
```
data_Ba6CdAu5
_cell_length_a 5.7443
_cell_length_b 8.1444
_cell_length_c 9.1001
_cell_angle_alpha 90.00
_cell_angle_beta 108.34
_cell_angle_gamma 90.00
_symmetry_space_group_name_H-M 'P 1 2/m 1'
_symmetry_Int_Tables_number 10
loop_
_symmetry_equiv_pos_as_xyz
'x,y,z'
'-x,-y,-z'
'-x,y,-z'
'x,-y,z'
loop_
_atom_site_label
_atom_site_type_symbol
_atom_site_fract_x
_atom_site_fract_y
_atom_site_fract_z
Ba1 Ba 0.0000 0.2404 0.0000
Ba2 Ba 0.3297 0.2484 0.6589
Cd1 Cd 0.5000 0.5000 0.0000
Au1 Au 0.1580 0.5000 0.3170
Au2 Au 0.1670 0.0000 0.3351
Au3 Au 0.5000 0.0000 0.0000
```

Principal peaks in the range 2θ = 5–70°, by angle:
2θ = 21.8°, I = 3, hkl 0 2 0
2θ = 23.3°, I = 1, hkl 0 1 2
2θ = 31.1°, I = 100, hkl 2 0 -1
2θ = 38.3°, I = 1, hkl 2 2 -1
2θ = 44.5°, I = 18, hkl 0 4 0
2θ = 50.1°, I = 1, hkl 1 4 -2
2θ = 55.3°, I = 25, hkl 2 4 -1
2θ = 55.4°, I = 13, hkl 3 2 0
2θ = 64.8°, I = 10, hkl 2 4 2
2θ = 64.9°, I = 2, hkl 4 0 -2


(5)
This entry pairs a crystal structure of Ba2CdH6Au with its computed XRD peak list. Radiation: λ = 1.5418 Å (Cu Kα). Structure: a crystal structure in Alexandria, relaxed with GGA-PBE.
Neutral-atom scattering factors, no anomalous dispersion.

Cell and atoms:
```
data_Ba2CdH6Au
_cell_length_a 8.3621
_cell_length_b 8.3694
_cell_length_c 5.9216
_cell_angle_alpha 90.00
_cell_angle_beta 134.92
_cell_angle_gamma 90.00
_symmetry_space_group_name_H-M 'C 1 2/m 1'
_symmetry_Int_Tables_number 12
loop_
_symmetry_equiv_pos_as_xyz
'x,y,z'
'-x,-y,-z'
'-x,y,-z'
'x,-y,z'
'x+1/2,y+1/2,z'
'-x+1/2,-y+1/2,-z'
'-x+1/2,y+1/2,-z'
'x+1/2,-y+1/2,z'
loop_
_atom_site_label
_atom_site_type_symbol
_atom_site_fract_x
_atom_site_fract_y
_atom_site_fract_z
Ba1 Ba 0.0000 0.2497 0.0000
Cd1 Cd 0.0000 0.0000 0.5000
H1 H 0.0000 0.2676 0.5000
H2 H 0.2338 0.5000 0.5021
H3 H 0.2349 0.5000 0.9678
Au1 Au 0.0000 0.5000 0.5000
```

Principal peaks in the range 2θ = 5–70°, by angle:
2θ = 18.4°, I = 4, hkl 1 1 -1
2θ = 21.2°, I = 1, hkl 0 2 0
2θ = 30.2°, I = 100, hkl 2 0 0
2θ = 35.6°, I = 3, hkl 1 3 0
2θ = 43.2°, I = 13, hkl 0 4 0
2θ = 43.3°, I = 6, hkl 4 0 -2
2θ = 47.3°, I = 1, hkl 3 3 -2
2θ = 53.6°, I = 40, hkl 2 4 0
2θ = 62.7°, I = 8, hkl 4 0 0
2θ = 62.8°, I = 4, hkl 4 4 -2


(6)
This entry pairs a crystal structure of Ba3Cd2InAu6 with its computed XRD peak list. Radiation: λ = 1.5418 Å (Cu Kα). Structure: a crystal structure in Alexandria, relaxed with GGA-PBE.
Neutral-atom scattering factors, no anomalous dispersion.

Cell and atoms:
```
data_Ba3Cd2InAu6
_cell_length_a 6.7330
_cell_length_b 6.7330
_cell_length_c 9.0004
_cell_angle_alpha 90.00
_cell_angle_beta 90.00
_cell_angle_gamma 120.00
_symmetry_space_group_name_H-M 'P -3 m 1'
_symmetry_Int_Tables_number 164
_symmetry_space_group_name_Hall '-P 3 2"'
loop_
_atom_site_label
_atom_site_type_symbol
_atom_site_fract_x
_atom_site_fract_y
_atom_site_fract_z
Ba1 Ba 0.0000 0.0000 0.0000
Ba2 Ba 0.3333 0.6667 0.6360
Cd1 Cd 0.3333 0.6667 0.0361
In1 In 0.0000 0.0000 0.5000
Au1 Au 0.1872 0.3743 0.2969
```

Principal peaks in the range 2θ = 5–70°, by angle:
2θ = 9.8°, I = 17, hkl 0 0 1
2θ = 18.1°, I = 32, hkl 1 0 1
2θ = 29.8°, I = 33, hkl 0 0 3
2θ = 32.3°, I = 100, hkl 0 2 1
2θ = 33.2°, I = 41, hkl 1 1 2
2θ = 36.7°, I = 71, hkl 2 0 2
2θ = 43.3°, I = 31, hkl 0 2 3
2θ = 51.2°, I = 34, hkl 0 3 2
2θ = 54.5°, I = 30, hkl 2 2 0
2θ = 63.4°, I = 18, hkl 2 2 3


(7)
This entry pairs a crystal structure of BaCd8InAu2 with its computed XRD peak list. Radiation: λ = 1.5418 Å (Cu Kα). Structure: a crystal structure in Alexandria, relaxed with GGA-PBE.
Neutral-atom scattering factors, no anomalous dispersion.

Cell and atoms:
```
data_BaCd8InAu2
_cell_length_a 6.2012
_cell_length_b 10.5110
_cell_length_c 9.3966
_cell_angle_alpha 90.00
_cell_angle_beta 90.00
_cell_angle_gamma 90.00
_symmetry_space_group_name_H-M 'C m m m'
_symmetry_Int_Tables_number 65
_symmetry_space_group_name_Hall '-C 2 2'
loop_
_atom_site_label
_atom_site_type_symbol
_atom_site_fract_x
_atom_site_fract_y
_atom_site_fract_z
Ba1 Ba 0.0000 0.0000 0.0000
Cd1 Cd 0.0000 0.3335 0.0000
Cd2 Cd 0.0000 0.3529 0.5000
Cd3 Cd 0.2500 0.2500 0.2585
In1 In 0.0000 0.0000 0.5000
Au1 Au 0.0000 0.5000 0.2406
```

Principal peaks in the range 2θ = 5–70°, by angle:
2θ = 16.6°, I = 41, hkl 1 1 0
2θ = 25.2°, I = 29, hkl 1 1 2
2θ = 33.6°, I = 41, hkl 2 2 0
2θ = 34.7°, I = 26, hkl 2 0 2
2θ = 35.1°, I = 100, hkl 1 3 2
2θ = 38.3°, I = 39, hkl 0 0 4
2θ = 38.8°, I = 39, hkl 2 2 2
2θ = 39.3°, I = 26, hkl 0 4 2
2θ = 51.8°, I = 23, hkl 2 2 4
2θ = 55.2°, I = 27, hkl 3 3 2